# 1
Starting from a structure optimized by DFT (GGA+U), the powder X-ray diffraction pattern of LiMn2B8O14 was calculated for Cu Ka.

Main lines, by intensity (15 to 90 degrees two-theta):
| two_theta | I_rel |
| --- | --- |
| 32.51 | 100 |
| 30.63 | 91 |
| 46.68 | 64 |
| 47.91 | 58 |
| 37.56 | 54 |
| 53.68 | 38 |
| 37.98 | 34 |
| 27.57 | 30 |
| 46.52 | 29 |
| 22.78 | 24 |

Crystal structure
```
LiMn2B8O14
1.0
5.252 0.000 0.000
0.000 5.497 3.444
0.000 -5.497 3.444
Li Mn B O
1 2 8 14
Cartesian
0.000 0.000 0.000
0.000 0.000 2.331
2.626 0.000 5.146
0.000 -1.355 5.148
0.000 1.355 5.148
1.333 -3.197 3.757
1.333 3.197 3.757
2.626 -1.308 2.279
2.626 1.308 2.279
3.918 -3.197 3.757
3.918 3.197 3.757
0.000 -2.342 3.954
0.000 0.000 4.537
0.000 2.342 3.954
1.175 -4.029 2.562
1.175 4.029 2.562
1.447 -1.502 1.500
1.447 1.502 1.500
2.626 -2.347 3.548
2.626 0.000 2.980
2.626 2.347 3.548
3.804 -1.502 1.500
3.804 1.502 1.500
4.077 -4.029 2.562
4.077 4.029 2.562
```

***

# 2
Starting from a structure optimized by DFT (GGA+U), the powder X-ray diffraction pattern of LiMn2BO4 was calculated for Cu Ka.

Main lines, by intensity (15 to 90 degrees two-theta):
| two_theta | I_rel |
| --- | --- |
| 35.18 | 100 |
| 27.33 | 41 |
| 45.12 | 31 |
| 21.73 | 27 |
| 60.50 | 24 |
| 68.24 | 19 |
| 52.84 | 18 |
| 56.40 | 15 |
| 39.04 | 11 |
| 63.78 | 11 |

Crystal structure
```
LiMn2BO4
1.0
-2.307 2.307 4.090
2.307 -2.307 4.090
2.307 2.307 -4.090
Li Mn B O
1 2 1 4
Cartesian
0.000 0.000 0.000
2.307 0.000 2.045
0.000 2.307 2.045
0.000 0.000 4.090
1.416 1.416 -0.832
0.891 -0.891 4.922
0.891 0.891 3.258
-0.891 0.891 4.922
```

***

# 3
Starting from a structure optimized by DFT (GGA+U), the powder X-ray diffraction pattern of LiMn2B2O6 was calculated for Cu Ka.

Main lines, by intensity (15 to 90 degrees two-theta):
| two_theta | I_rel |
| --- | --- |
| 19.77 | 100 |
| 25.78 | 78 |
| 20.93 | 78 |
| 34.30 | 66 |
| 33.75 | 63 |
| 21.48 | 60 |
| 46.85 | 46 |
| 19.28 | 44 |
| 37.83 | 40 |
| 25.43 | 38 |

Crystal structure
```
LiMn2B2O6
1.0
2.681 -4.492 0.000
2.681 4.492 0.000
-0.167 0.000 10.622
Li Mn B O
2 4 4 12
Cartesian
2.598 4.202 5.311
2.681 -4.202 0.000
1.766 1.392 9.047
3.301 1.630 1.219
1.850 -1.392 3.736
3.218 -1.630 6.529
1.693 1.692 3.919
3.379 1.590 6.450
1.610 -1.692 9.230
3.462 -1.590 1.140
1.434 1.787 0.546
1.121 0.488 4.074
2.155 1.857 7.068
1.038 -0.488 9.385
2.797 1.951 3.098
1.350 -1.787 5.856
3.778 1.665 9.929
2.238 -1.857 1.757
3.915 0.356 6.457
2.714 -1.951 8.409
3.998 -0.356 1.146
3.861 -1.665 4.618
```

***

# 4
Starting from a structure optimized by DFT (GGA+U), the powder X-ray diffraction pattern of Li2Mn3B3O9 was calculated for Cu Ka.

Main lines, by intensity (15 to 90 degrees two-theta):
| two_theta | I_rel |
| --- | --- |
| 21.49 | 100 |
| 21.73 | 55 |
| 36.29 | 32 |
| 37.97 | 28 |
| 35.35 | 17 |
| 35.60 | 16 |
| 35.91 | 16 |
| 35.73 | 16 |
| 37.55 | 16 |
| 43.80 | 15 |

Crystal structure
```
Li2Mn3B3O9
1.0
6.308 0.000 0.000
-0.210 8.274 0.000
-2.990 -4.051 7.108
Li Mn B O
4 6 6 18
Cartesian
0.000 0.000 0.000
-0.101 3.719 1.855
-0.155 -0.509 4.781
3.159 -0.606 4.746
-1.867 4.867 4.273
-1.666 1.478 6.940
1.467 0.998 2.472
1.300 5.016 4.849
1.431 1.209 7.006
4.542 1.092 2.195
-0.380 6.596 2.231
-1.646 -1.609 6.857
-0.216 2.476 4.539
2.804 6.491 2.345
1.608 -1.606 6.879
3.131 2.377 4.657
-0.260 6.447 0.844
-1.614 -1.640 5.460
-0.472 5.431 2.994
-0.188 -0.425 2.784
-0.143 2.282 3.185
1.276 3.664 0.422
1.326 1.286 0.479
-0.424 3.768 5.057
-0.099 1.427 5.448
2.752 6.129 1.000
1.474 -1.270 5.523
3.051 -0.464 2.716
2.843 5.507 3.337
3.039 2.176 3.325
4.698 1.089 0.081
4.648 3.404 0.746
3.113 3.674 5.211
3.257 1.285 5.540
```

***

# 5
Starting from a structure optimized by DFT (GGA+U), the powder X-ray diffraction pattern of LiMn2B2O6 was calculated for Cu Ka.

Main lines, by intensity (15 to 90 degrees two-theta):
| two_theta | I_rel |
| --- | --- |
| 21.43 | 100 |
| 19.60 | 71 |
| 34.61 | 69 |
| 34.15 | 50 |
| 25.54 | 46 |
| 26.35 | 29 |
| 19.36 | 28 |
| 48.76 | 25 |
| 40.02 | 25 |
| 60.58 | 25 |

Crystal structure
```
LiMn2B2O6
1.0
5.318 0.000 0.000
0.000 9.059 0.000
-0.372 0.000 10.368
Li Mn B O
4 8 8 24
Cartesian
0.000 0.029 0.000
-0.186 9.030 5.184
3.787 4.359 7.756
3.973 4.700 2.572
1.390 2.741 2.221
1.204 6.318 7.405
2.218 1.769 9.920
2.404 7.290 4.736
3.917 1.337 7.326
4.103 7.722 2.142
5.031 3.129 4.869
4.845 5.930 10.053
1.258 3.183 7.461
1.443 5.876 2.277
2.359 1.338 4.696
2.173 7.721 9.880
4.249 1.703 2.079
4.064 7.356 7.263
4.738 2.838 9.911
4.924 6.221 4.727
-0.054 2.984 7.005
0.132 6.075 1.821
1.031 2.730 0.190
0.845 6.330 5.374
1.690 2.464 4.136
1.504 6.595 9.320
1.696 0.162 4.811
1.510 8.897 9.995
1.893 4.372 7.363
2.079 4.687 2.179
1.957 2.066 8.013
2.143 6.993 2.829
2.949 1.796 1.564
2.763 7.263 6.748
3.674 1.501 5.159
3.488 7.558 10.343
4.129 1.610 9.547
4.315 7.449 4.363
4.149 4.016 9.683
4.335 5.043 4.499
4.803 2.896 2.577
4.617 6.163 7.761
4.947 0.556 1.997
4.761 8.504 7.182
```

***

# 6
Starting from a structure optimized by DFT (GGA+U), the powder X-ray diffraction pattern of Li2Mn3B3O9 was calculated for Cu Ka.

Main lines, by intensity (15 to 90 degrees two-theta):
| two_theta | I_rel |
| --- | --- |
| 21.54 | 100 |
| 35.81 | 68 |
| 37.78 | 25 |
| 47.84 | 24 |
| 53.03 | 20 |
| 54.69 | 16 |
| 30.96 | 15 |
| 33.18 | 13 |
| 43.90 | 10 |
| 66.94 | 9 |

Crystal structure
```
Li2Mn3B3O9
1.0
8.249 0.000 0.000
-4.125 7.144 0.000
0.000 0.000 9.474
Li Mn B O
6 9 9 27
Cartesian
-2.860 5.093 0.000
-2.809 5.235 6.330
0.995 2.094 3.172
1.144 2.120 6.316
1.716 7.075 3.158
1.814 6.959 0.014
2.830 0.025 1.551
3.030 0.037 4.722
3.197 0.116 7.885
2.626 4.318 1.569
2.641 4.501 7.880
2.732 4.681 4.709
6.551 2.711 4.727
6.702 2.606 1.564
6.813 2.438 7.867
-0.056 0.169 4.801
-3.951 7.108 7.959
-0.047 4.760 6.332
0.026 4.723 3.174
0.021 4.805 0.016
4.039 2.406 3.119
4.146 2.294 9.435
4.189 2.444 6.277
4.006 7.011 1.643
-3.091 6.289 1.456
-0.088 1.236 1.835
-3.011 6.602 4.993
-2.764 6.344 7.949
0.013 1.579 4.791
0.223 1.323 7.772
-1.198 3.975 6.234
-1.070 3.873 3.296
-1.094 4.005 9.456
-0.236 6.134 6.454
-0.110 6.089 3.140
-0.083 6.195 9.392
1.203 4.195 6.298
1.282 4.119 3.076
1.306 4.281 0.138
2.956 1.545 3.099
3.043 1.457 9.294
3.111 1.569 6.439
3.927 3.665 0.123
3.865 3.780 2.978
3.985 3.811 6.257
2.751 6.366 1.633
5.335 1.910 3.281
5.433 1.788 9.415
5.466 1.906 6.136
2.867 6.676 4.614
3.098 6.450 8.151
```

***

# 7
Starting from a structure optimized by DFT (GGA+U), the powder X-ray diffraction pattern of LiMn2B2O6 was calculated for Cu Ka.

Main lines, by intensity (15 to 90 degrees two-theta):
| two_theta | I_rel |
| --- | --- |
| 20.16 | 100 |
| 34.31 | 76 |
| 22.51 | 76 |
| 33.97 | 56 |
| 22.01 | 54 |
| 40.67 | 33 |
| 37.62 | 30 |
| 34.82 | 29 |
| 20.99 | 28 |
| 20.01 | 26 |

Crystal structure
```
LiMn2B2O6
1.0
5.171 0.000 0.000
2.581 4.608 0.000
2.148 1.466 5.227
Li Mn B O
1 2 2 6
Cartesian
0.000 0.000 0.000
4.004 1.664 3.060
5.243 3.019 0.454
2.644 1.541 0.458
6.542 3.148 3.143
1.989 1.968 3.349
2.052 2.775 0.355
1.994 0.370 0.098
5.353 3.232 2.382
3.989 1.447 0.873
6.961 4.332 3.767
```

***

Please write out number 1 again, unchanged.
Starting from a structure optimized by DFT (GGA+U), the powder X-ray diffraction pattern of LiMn2B8O14 was calculated for Cu Ka.

Main lines, by intensity (15 to 90 degrees two-theta):
| two_theta | I_rel |
| --- | --- |
| 32.51 | 100 |
| 30.63 | 91 |
| 46.68 | 64 |
| 47.91 | 58 |
| 37.56 | 54 |
| 53.68 | 38 |
| 37.98 | 34 |
| 27.57 | 30 |
| 46.52 | 29 |
| 22.78 | 24 |

Crystal structure
```
LiMn2B8O14
1.0
5.252 0.000 0.000
0.000 5.497 3.444
0.000 -5.497 3.444
Li Mn B O
1 2 8 14
Cartesian
0.000 0.000 0.000
0.000 0.000 2.331
2.626 0.000 5.146
0.000 -1.355 5.148
0.000 1.355 5.148
1.333 -3.197 3.757
1.333 3.197 3.757
2.626 -1.308 2.279
2.626 1.308 2.279
3.918 -3.197 3.757
3.918 3.197 3.757
0.000 -2.342 3.954
0.000 0.000 4.537
0.000 2.342 3.954
1.175 -4.029 2.562
1.175 4.029 2.562
1.447 -1.502 1.500
1.447 1.502 1.500
2.626 -2.347 3.548
2.626 0.000 2.980
2.626 2.347 3.548
3.804 -1.502 1.500
3.804 1.502 1.500
4.077 -4.029 2.562
4.077 4.029 2.562
```